Record 1
The following is a calculated powder diffraction line list of MgSb4O8. It was derived from a crystal structure in Alexandria, relaxed with PBE, using Cu Kα X-rays.

Most intense lines, 2θ from 10° to 90°, low angle first:
2θ (°)	Rel. int.
17.84	100
27.35	33
28.90	38
29.81	21
30.22	25
30.61	39
33.70	32
35.06	46
41.57	40
47.00	25

Atomic structure:
Cell lengths 6.8265, 6.8265, 9.6980 Å; angles 100.32, 100.32, 27.15 degrees
Element x y z (fractional)
Mg (0.0000, 0.0000, 0.0000)
Sb (0.0126, 0.0126, 0.6608)
Sb (0.3125, 0.3125, 0.7772)
Sb (0.5268, 0.5268, 0.3208)
Sb (0.7279, 0.7279, 0.0915)
O (0.1201, 0.1201, 0.3879)
O (0.1618, 0.1618, 0.9752)
O (0.4698, 0.4698, 0.8397)
O (0.4839, 0.4839, 0.5165)
O (0.5576, 0.5576, 0.1262)
O (0.8355, 0.8355, 0.9491)
O (0.8595, 0.8595, 0.6500)
O (0.9302, 0.9302, 0.2616)

Record 2
The following is a calculated powder diffraction line list of Sr3MgSb2O8. It was derived from a crystal structure in Alexandria, relaxed with PBE, using Cu Kα X-rays.

Most intense lines, 2θ from 10° to 90°, low angle first:
2θ (°)	Rel. int.
21.17	25
29.49	71
30.72	100
39.91	25
43.10	44
53.86	27
54.62	19
61.18	14
63.98	17
70.00	21

Atomic structure:
Cell lengths 5.8204, 5.8204, 7.5804 Å; angles 90.00, 90.00, 120.00 degrees
Element x y z (fractional)
Sr (0.0000, 0.0000, 0.0000)
Sr (0.3333, 0.6667, 0.6252)
Sr (0.6667, 0.3333, 0.3748)
Mg (0.0000, 0.0000, 0.5000)
Sb (0.3333, 0.6667, 0.1963)
Sb (0.6667, 0.3333, 0.8037)
O (0.1650, 0.3301, 0.3315)
O (0.1650, 0.8350, 0.3315)
O (0.3301, 0.1650, 0.6685)
O (0.3333, 0.6667, 0.9329)
O (0.6667, 0.3333, 0.0671)
O (0.6699, 0.8350, 0.3315)
O (0.8350, 0.1650, 0.6685)
O (0.8350, 0.6699, 0.6685)

Record 3
The following is a calculated powder diffraction line list of Mg2TiSbO6. It was derived from a crystal structure in Alexandria, relaxed with PBE, using Cu Kα X-rays.

Most intense lines, 2θ from 10° to 90°, low angle first:
2θ (°)	Rel. int.
16.39	35
16.87	32
22.90	57
23.36	53
23.85	54
32.95	100
33.13	48
33.30	96
34.12	41
60.11	31

Atomic structure:
Cell lengths 5.2564, 7.7653, 5.4093 Å; angles 90.00, 91.17, 90.00 degrees
Element x y z (fractional)
Mg (0.0052, 0.2500, 0.0365)
Mg (0.4912, 0.7500, 0.4403)
Mg (0.5088, 0.2500, 0.5597)
Mg (0.9948, 0.7500, 0.9635)
Ti (0.5000, 0.0000, 0.0000)
Ti (0.5000, 0.5000, 0.0000)
Sb (0.0000, 0.0000, 0.5000)
Sb (0.0000, 0.5000, 0.5000)
O (0.1309, 0.2500, 0.4214)
O (0.1859, 0.5704, 0.1736)
O (0.1859, 0.9296, 0.1736)
O (0.3378, 0.5695, 0.6846)
O (0.3378, 0.9305, 0.6846)
O (0.3726, 0.2500, 0.9266)
O (0.6274, 0.7500, 0.0734)
O (0.6622, 0.0695, 0.3154)
O (0.6622, 0.4305, 0.3154)
O (0.8141, 0.0704, 0.8264)
O (0.8141, 0.4296, 0.8264)
O (0.8691, 0.7500, 0.5786)

Record 4
The following is a calculated powder diffraction line list of MgTl2SbO6. It was derived from a crystal structure in Alexandria, relaxed with PBE, using Cu Kα X-rays.

Most intense lines, 2θ from 10° to 90°, low angle first:
2θ (°)	Rel. int.
17.87	25
23.35	15
29.56	100
33.26	36
36.20	11
38.00	18
43.53	17
47.74	21
49.97	25
57.16	32

Atomic structure:
Cell lengths 5.3882, 5.3882, 4.9624 Å; angles 90.00, 90.00, 90.00 degrees
Element x y z (fractional)
Mg (0.0000, 0.0000, 0.0000)
Tl (0.0000, 0.5000, 0.4363)
Tl (0.5000, 0.0000, 0.4363)
Sb (0.5000, 0.5000, 0.0143)
O (0.0000, 0.0000, 0.5957)
O (0.2543, 0.2543, 0.1362)
O (0.2543, 0.7457, 0.1362)
O (0.5000, 0.5000, 0.6243)
O (0.7457, 0.2543, 0.1362)
O (0.7457, 0.7457, 0.1362)

Record 5
The following is a calculated powder diffraction line list of MgSc6O3. It was derived from a crystal structure in Alexandria, relaxed with PBE, using Cu Kα X-rays.

Most intense lines, 2θ from 10° to 90°, low angle first:
2θ (°)	Rel. int.
34.52	100
34.74	26
34.94	18
36.40	15
41.80	20
45.50	12
46.35	27
52.73	18
62.13	16
64.56	15

Atomic structure:
Cell lengths 6.2230, 6.2230, 6.2230 Å; angles 57.79, 57.79, 57.79 degrees
Element x y z (fractional)
Mg (0.0000, 0.0000, 0.0000)
Sc (0.0241, 0.5854, 0.4539)
Sc (0.1890, 0.4972, 0.8598)
Sc (0.4539, 0.0241, 0.5854)
Sc (0.4972, 0.8598, 0.1890)
Sc (0.5854, 0.4539, 0.0241)
Sc (0.8598, 0.1890, 0.4972)
O (0.2605, 0.2605, 0.2605)
O (0.4410, 0.4410, 0.4410)
O (0.7651, 0.7651, 0.7651)

Record 6
The following is a calculated powder diffraction line list of Mg2Sc6O. It was derived from a crystal structure in Alexandria, relaxed with PBE, using Cu Kα X-rays.

Most intense lines, 2θ from 10° to 90°, low angle first:
2θ (°)	Rel. int.
16.85	4
19.48	12
34.09	100
39.56	59
44.47	4
57.19	36
61.02	2
68.28	34
71.77	11
85.20	5

Atomic structure:
Cell lengths 6.4429, 6.4429, 6.4429 Å; angles 60.00, 60.00, 60.00 degrees
Element x y z (fractional)
Mg (0.2500, 0.2500, 0.2500)
Mg (0.7500, 0.7500, 0.7500)
Sc (0.2457, 0.2457, 0.7543)
Sc (0.2457, 0.7543, 0.2457)
Sc (0.2457, 0.7543, 0.7543)
Sc (0.7543, 0.2457, 0.2457)
Sc (0.7543, 0.2457, 0.7543)
Sc (0.7543, 0.7543, 0.2457)
O (0.0000, 0.0000, 0.0000)

Record 7
The following is a calculated powder diffraction line list of MgSc4Si4O14. It was derived from a crystal structure in Alexandria, relaxed with PBE, using Cu Kα X-rays.

Most intense lines, 2θ from 10° to 90°, low angle first:
2θ (°)	Rel. int.
31.08	46
32.88	100
37.63	19
40.88	14
41.97	28
47.37	12
50.25	15
53.08	47
55.45	53
64.93	17

Atomic structure:
Cell lengths 6.9133, 6.9133, 6.9133 Å; angles 57.29, 57.29, 57.29 degrees
Element x y z (fractional)
Mg (0.0000, 0.0000, 0.0000)
Sc (0.2356, 0.2356, 0.2356)
Sc (0.2770, 0.2770, 0.7126)
Sc (0.2770, 0.7126, 0.2770)
Sc (0.7126, 0.2770, 0.2770)
Si (0.2404, 0.7324, 0.7324)
Si (0.7324, 0.2404, 0.7324)
Si (0.7324, 0.7324, 0.2404)
Si (0.7328, 0.7328, 0.7328)
O (0.0502, 0.0502, 0.6630)
O (0.0502, 0.6630, 0.0502)
O (0.0630, 0.6623, 0.6623)
O (0.1136, 0.1136, 0.1136)
O (0.3512, 0.3512, 0.3512)
O (0.4041, 0.8136, 0.8136)
O (0.4183, 0.4183, 0.8151)
O (0.4183, 0.8151, 0.4183)
O (0.6623, 0.0630, 0.6623)
O (0.6623, 0.6623, 0.0630)
O (0.6630, 0.0502, 0.0502)
O (0.8136, 0.4041, 0.8136)
O (0.8136, 0.8136, 0.4041)
O (0.8151, 0.4183, 0.4183)

Record 8
The following is a calculated powder diffraction line list of MgSc4Si4O14. It was derived from a crystal structure in Alexandria, relaxed with PBE, using Cu Kα X-rays.

Most intense lines, 2θ from 10° to 90°, low angle first:
2θ (°)	Rel. int.
28.67	100
33.73	55
35.20	10
35.35	8
40.95	25
46.16	26
51.86	44
58.39	15
59.37	18
67.24	12

Atomic structure:
Cell lengths 7.1526, 7.1526, 7.1526 Å; angles 128.40, 113.30, 89.05 degrees
Element x y z (fractional)
Mg (0.0000, 0.0000, 0.0000)
Sc (0.2974, 0.5581, 0.7392)
Sc (0.3285, 0.0919, 0.7634)
Sc (0.3285, 0.5651, 0.2366)
Sc (0.8189, 0.5581, 0.2608)
Si (0.3724, 0.0676, 0.3048)
Si (0.7628, 0.0676, 0.6952)
Si (0.7824, 0.0490, 0.2665)
Si (0.7824, 0.5159, 0.7335)
O (0.1813, 0.1702, 0.4064)
O (0.1813, 0.7749, 0.0111)
O (0.1874, 0.6874, 0.5000)
O (0.1908, 0.1908, 0.0000)
O (0.4875, 0.4875, 0.0000)
O (0.4932, 0.9932, 0.5000)
O (0.5178, 0.3922, 0.5352)
O (0.5178, 0.9825, 0.1256)
O (0.7638, 0.1702, 0.9889)
O (0.7638, 0.7749, 0.5936)
O (0.8035, 0.8035, 0.0000)
O (0.8570, 0.3922, 0.8744)
O (0.8570, 0.9825, 0.4648)
O (0.8733, 0.3733, 0.5000)

Record 9
The following is a calculated powder diffraction line list of Mg4Sc3Si8O24. It was derived from a crystal structure in Alexandria, relaxed with PBE, using Cu Kα X-rays.

Most intense lines, 2θ from 10° to 90°, low angle first:
2θ (°)	Rel. int.
13.59	20
26.80	13
27.42	100
30.04	49
31.96	24
32.10	20
44.66	14
54.60	20
60.24	14
60.43	13

Atomic structure:
Cell lengths 5.4367, 8.9906, 9.4564 Å; angles 90.00, 90.41, 90.00 degrees
Element x y z (fractional)
Mg (0.0000, 0.0000, 0.0000)
Mg (0.0000, 0.1242, 0.5000)
Mg (0.0000, 0.4901, 0.5000)
Mg (0.5000, 0.9621, 0.5000)
Sc (0.0000, 0.6086, 0.0000)
Sc (0.5000, 0.3227, 0.5000)
Sc (0.5000, 0.8158, 0.0000)
Si (0.1693, 0.3135, 0.2097)
Si (0.1799, 0.8194, 0.2968)
Si (0.3150, 0.6435, 0.7047)
Si (0.3312, 0.1370, 0.7940)
Si (0.6688, 0.1370, 0.2060)
Si (0.6850, 0.6435, 0.2953)
Si (0.8201, 0.8194, 0.7032)
Si (0.8307, 0.3135, 0.7903)
O (0.0430, 0.7086, 0.6453)
O (0.0599, 0.2045, 0.8488)
O (0.1448, 0.4774, 0.1467)
O (0.1570, 0.3144, 0.3848)
O (0.1643, 0.8267, 0.1232)
O (0.1834, 0.9741, 0.3818)
O (0.3182, 0.6499, 0.8756)
O (0.3190, 0.4881, 0.6174)
O (0.3193, 0.9808, 0.8798)
O (0.3287, 0.1292, 0.6196)
O (0.4257, 0.2326, 0.1581)
O (0.4558, 0.7528, 0.3501)
O (0.5442, 0.7528, 0.6499)
O (0.5743, 0.2326, 0.8419)
O (0.6713, 0.1292, 0.3804)
O (0.6810, 0.4881, 0.3826)
O (0.6807, 0.9808, 0.1202)
O (0.6818, 0.6499, 0.1244)
O (0.8166, 0.9741, 0.6182)
O (0.8357, 0.8267, 0.8768)
O (0.8430, 0.3144, 0.6152)
O (0.8552, 0.4774, 0.8533)
O (0.9401, 0.2045, 0.1512)
O (0.9570, 0.7086, 0.3547)

Record 10
The following is a calculated powder diffraction line list of MgSeO9. It was derived from a crystal structure in Alexandria, relaxed with PBE, using Cu Kα X-rays.

Most intense lines, 2θ from 10° to 90°, low angle first:
2θ (°)	Rel. int.
16.78	59
22.81	98
24.79	90
28.45	79
31.64	69
33.93	100
36.77	31
41.28	49
53.48	37
63.09	29

Atomic structure:
Cell lengths 5.3164, 5.3164, 5.3164 Å; angles 94.34, 94.34, 94.34 degrees
Element x y z (fractional)
Mg (0.0000, 0.0000, 0.0000)
Se (0.5339, 0.5339, 0.5339)
O (0.0046, 0.0772, 0.4109)
O (0.0772, 0.4109, 0.0046)
O (0.2957, 0.7087, 0.4888)
O (0.4109, 0.0046, 0.0772)
O (0.4888, 0.2957, 0.7087)
O (0.5936, 0.8940, 0.9845)
O (0.7087, 0.4888, 0.2957)
O (0.8940, 0.9845, 0.5936)
O (0.9845, 0.5936, 0.8940)

Record 11
The following is a calculated powder diffraction line list of MgSe2O5. It was derived from a crystal structure in Alexandria, relaxed with PBE, using Cu Kα X-rays.

Most intense lines, 2θ from 10° to 90°, low angle first:
2θ (°)	Rel. int.
21.07	20
25.71	100
28.48	28
29.06	16
30.79	71
31.85	17
41.14	17
45.32	20
49.50	17
52.98	26

Atomic structure:
Cell lengths 6.9387, 10.5364, 6.1461 Å; angles 90.00, 90.00, 90.00 degrees
Element x y z (fractional)
Mg (0.0000, 0.0613, 0.2500)
Mg (0.0000, 0.9387, 0.7500)
Mg (0.5000, 0.4387, 0.7500)
Mg (0.5000, 0.5613, 0.2500)
Se (0.1364, 0.3457, 0.0341)
Se (0.1364, 0.6543, 0.5341)
Se (0.3636, 0.1543, 0.5341)
Se (0.3636, 0.8457, 0.0341)
Se (0.6364, 0.1543, 0.9659)
Se (0.6364, 0.8457, 0.4659)
Se (0.8636, 0.3457, 0.4659)
Se (0.8636, 0.6543, 0.9659)
O (0.0000, 0.4336, 0.2500)
O (0.0000, 0.5664, 0.7500)
O (0.1545, 0.0672, 0.5494)
O (0.1545, 0.9328, 0.0494)
O (0.1940, 0.2090, 0.1639)
O (0.1940, 0.7910, 0.6639)
O (0.3060, 0.2910, 0.6639)
O (0.3060, 0.7090, 0.1639)
O (0.3455, 0.4328, 0.0494)
O (0.3455, 0.5672, 0.5494)
O (0.5000, 0.0664, 0.7500)
O (0.5000, 0.9336, 0.2500)
O (0.6545, 0.4328, 0.4506)
O (0.6545, 0.5672, 0.9506)
O (0.6940, 0.2910, 0.8361)
O (0.6940, 0.7090, 0.3361)
O (0.8060, 0.2090, 0.3361)
O (0.8060, 0.7910, 0.8361)
O (0.8455, 0.0672, 0.9506)
O (0.8455, 0.9328, 0.4506)